1.
Rb2CdOsI6: computed X-ray diffraction stick pattern (copper Kα), based on a structure optimized by DFT (PBE).

Main lines, sorted by position (2θ from 5° to 70°):
15.13 deg, intensity 76, (1 1 0); 26.36 deg, intensity 70, (2 0 2); 30.48 deg, intensity 94, (2 2 0); 30.61 deg, intensity 47, (0 0 4); 43.71 deg, intensity 100, (2 2 4); 54.25 deg, intensity 34, (4 0 4)

Crystal structure
Unit cell a=8.2941 b=8.2941 c=11.6818 alpha=90.00 beta=90.00 gamma=90.00
Space group I4/mmm (No. 139)
Asymmetric unit:
Rb1 0.0000 0.5000 0.2500 [4 per cell]
Cd1 0.0000 0.0000 0.0000 [2 per cell]
Os1 0.0000 0.0000 0.5000 [2 per cell]
I1 0.0000 0.0000 0.2654 [4 per cell]
I2 0.2334 0.2334 0.5000 [8 per cell]

---

2.
Cd4P12I: computed X-ray diffraction stick pattern (copper Kα), based on a structure optimized by DFT (PBE).

Main lines, sorted by position (2θ from 5° to 70°):
28.15 deg, intensity 100, (2 2 0); 31.55 deg, intensity 27, (3 1 0); 37.53 deg, intensity 18, (3 1 2); 45.23 deg, intensity 31, (4 0 2); 49.82 deg, intensity 38, (4 2 2); 52.00 deg, intensity 19, (5 1 0)

Crystal structure
Unit cell a=8.9666 b=8.9666 c=8.9666 alpha=90.00 beta=90.00 gamma=90.00
Space group Im-3 (No. 204)
Asymmetric unit:
Cd1 0.2500 0.2500 0.2500 [8 per cell]
P1 0.0000 0.1212 0.3766 [24 per cell]
I1 0.0000 0.0000 0.0000 [2 per cell]

---

3.
CdP2I: computed X-ray diffraction stick pattern (copper Kα), based on a structure optimized by DFT (PBE).

Main lines, sorted by position (2θ from 5° to 70°):
25.43 deg, intensity 100, (1 1 2); 31.54 deg, intensity 15, (2 0 0); 40.51 deg, intensity 41, (2 0 4); 44.02 deg, intensity 22, (1 1 6); 45.21 deg, intensity 15, (2 2 0); 52.58 deg, intensity 26, (3 1 2)

Crystal structure
Unit cell a=5.6733 b=5.6733 c=14.3779 alpha=90.00 beta=90.00 gamma=90.00
Space group I-42d (No. 122)
Asymmetric unit:
Cd1 0.0000 0.0000 0.0000 [4 per cell]
P1 0.2307 0.2500 0.1250 [8 per cell]
I1 0.0000 0.0000 0.5000 [4 per cell]

---

4.
RbCdPbI5: computed X-ray diffraction stick pattern (copper Kα), based on a structure optimized by DFT (PBE).

Main lines, sorted by position (2θ from 5° to 70°):
11.08 deg, intensity 44, (1 1 0); 16.64 deg, intensity 71, (1 1 -2); 20.96 deg, intensity 100, (0 2 2); 24.04 deg, intensity 94, (1 3 1); 33.68 deg, intensity 55, (3 3 0); 38.70 deg, intensity 48, (4 0 -4)

Crystal structure
Unit cell a=10.6333 b=14.0466 c=11.6504 alpha=90.00 beta=114.12 gamma=90.00
Space group C2/c (No. 15)
Asymmetric unit:
Rb1 0.0000 0.1502 0.2500 [4 per cell]
Cd1 0.0000 0.1829 0.7500 [4 per cell]
Pb1 0.0000 0.5000 0.0000 [4 per cell]
I1 0.0000 0.4103 0.2500 [4 per cell]
I2 0.1234 0.2896 0.6173 [8 per cell]
I3 0.1807 0.0626 0.9452 [8 per cell]

---

5.
Tl2CdPbI6: computed X-ray diffraction stick pattern (copper Kα), based on a structure optimized by DFT (PBE).

Main lines, sorted by position (2θ from 5° to 70°):
20.52 deg, intensity 61, (1 0 4); 24.45 deg, intensity 95, (1 1 3); 29.53 deg, intensity 89, (0 2 4); 32.79 deg, intensity 100, (2 -1 6); 36.52 deg, intensity 44, (3 -1 4); 36.81 deg, intensity 69, (3 0 0)

Crystal structure
Unit cell a=8.4584 b=8.4584 c=21.4668 alpha=90.00 beta=90.00 gamma=120.00
Space group R3 (No. 146, hexagonal axes)
Asymmetric unit:
Tl1 0.0000 0.0000 0.0000 [3 per cell]
Tl2 0.0000 0.0000 0.4982 [3 per cell]
Cd1 0.0000 0.0000 0.7066 [3 per cell]
Pb1 0.0000 0.0000 0.2065 [3 per cell]
I1 0.0040 0.4017 0.4457 [9 per cell]
I2 0.0767 0.7220 0.2844 [9 per cell]

---

6.
PmCdI4: computed X-ray diffraction stick pattern (copper Kα), based on a structure optimized by DFT (PBE).

Main lines, sorted by position (2θ from 5° to 70°):
11.95 deg, intensity 64, (2 0 0); 24.75 deg, intensity 48, (4 0 -2); 25.50 deg, intensity 100, (1 1 1); 33.05 deg, intensity 40, (3 1 1); 38.23 deg, intensity 42, (3 1 -3); 43.36 deg, intensity 29, (7 1 -1)

Crystal structure
Unit cell a=16.8739 b=4.4873 c=8.2974 alpha=90.00 beta=118.60 gamma=90.00
Space group C2/m (No. 12)
Asymmetric unit:
Pm1 0.0000 0.0000 0.0000 [2 per cell]
Cd1 0.0000 0.5000 0.5000 [2 per cell]
I1 0.1123 0.0000 0.7977 [4 per cell]
I2 0.1196 0.5000 0.2763 [4 per cell]

---

7.
PmCdI6: computed X-ray diffraction stick pattern (copper Kα), based on a structure optimized by DFT (PBE).

Main lines, sorted by position (2θ from 5° to 70°):
26.86 deg, intensity 89, (2 1 0); 26.96 deg, intensity 89, (1 2 1); 27.07 deg, intensity 87, (1 -1 2); 35.51 deg, intensity 41, (-1 1 1); 35.84 deg, intensity 40, (2 1 3); 41.16 deg, intensity 100, (3 3 1)

Crystal structure
Unit cell a=7.5929 b=7.5980 c=7.9875 alpha=89.99 beta=62.06 gamma=60.07
Space group P-1 (No. 2)
Asymmetric unit:
Pm1 0.0000 0.0000 0.0000 [1 per cell]
Cd1 0.0000 0.5000 0.5000 [1 per cell]
I1 0.1737 0.5695 0.7493 [2 per cell]
I2 0.1778 0.7447 0.2540 [2 per cell]
I3 0.4929 0.0785 0.2523 [2 per cell]